# 1
# Cs2Ca5N4
Theoretical XRD peak list, λ = 1.5418 Å (Cu Kα). Input: a structure optimized by DFT (PBE).
Neutral-atom scattering factors, no anomalous dispersion.

abc: 7.9328 7.9328 17.8319
angles: 90.00 90.00 90.00
Space group P4/ncc (No. 130, origin choice 2)
Unique sites:
Cs1 0.0342 0.5342 0.2500 x8
Ca1 0.0796 0.6348 0.5625 x16
Ca2 0.2500 0.2500 0.0811 x4
N1 0.0518 0.6350 0.4219 x16

Principal peaks in the range 10° ≤ 2θ ≤ 90°, low angle first:
2theta	d/Å	intensity	hkl
19.92	4.458	27	0 0 4
22.42	3.966	55	2 0 0
24.56	3.624	70	2 0 2
29.32	3.046	59	2 1 3
30.11	2.968	100	0 0 6
31.91	2.805	21	2 2 0
33.49	2.675	26	2 2 2
35.79	2.509	18	3 1 0
37.86	2.377	42	2 0 6
49.82	1.830	18	4 1 3

# 2
# CsCaP3O9
Theoretical XRD peak list, λ = 1.5418 Å (Cu Kα). Input: a structure optimized by DFT (PBE).
Neutral-atom scattering factors, no anomalous dispersion.

abc: 10.0198 7.6932 12.9375
angles: 90.00 90.00 90.00
Space group Pnma (No. 62)
Unique sites:
Cs1 0.1097 0.2500 0.0852 x4
Ca1 0.0129 0.7500 0.2246 x4
P1 0.2100 0.2500 0.5421 x4
P2 0.2486 0.0540 0.3522 x8
O1 0.1041 0.2500 0.6225 x4
O2 0.1222 0.0426 0.8653 x8
O3 0.1436 0.5156 0.2813 x8
O4 0.1449 0.7500 0.0716 x4
O5 0.1812 0.0864 0.4647 x8
O6 0.2115 0.7500 0.8152 x4

Principal peaks in the range 10° ≤ 2θ ≤ 90°, low angle first:
2theta	d/Å	intensity	hkl
11.17	7.922	93	1 0 1
20.00	4.439	43	1 1 2
21.16	4.198	69	2 1 0
23.65	3.762	37	0 1 3
25.29	3.522	33	2 1 2
28.43	3.140	100	1 2 2
29.01	3.078	36	1 0 4
29.97	2.981	43	3 1 1
30.11	2.968	36	3 0 2
36.06	2.491	36	2 2 3

# 3
# CsCa2Ta3O10
Theoretical XRD peak list, λ = 1.5418 Å (Cu Kα). Input: a structure optimized by DFT (PBE).
Neutral-atom scattering factors, no anomalous dispersion.

abc: 3.9506 3.9506 15.5136
angles: 90.00 90.00 90.00
Space group P4/mmm (No. 123)
Unique sites:
Cs1 0.0000 0.0000 0.0000 x1
Ca1 0.0000 0.0000 0.3519 x2
Ta1 0.5000 0.5000 0.2246 x2
Ta2 0.5000 0.5000 0.5000 x1
O1 0.0000 0.5000 0.2512 x4
O2 0.0000 0.5000 0.5000 x2
O3 0.5000 0.5000 0.1086 x2
O4 0.5000 0.5000 0.3730 x2

Principal peaks in the range 10° ≤ 2θ ≤ 90°, low angle first:
2theta	d/Å	intensity	hkl
22.51	3.951	45	1 0 0
22.93	3.878	45	0 0 4
23.23	3.828	22	1 0 1
25.30	3.520	30	1 0 2
28.43	3.139	100	1 0 3
32.04	2.794	63	1 1 0
32.35	2.768	28	1 0 4
45.94	1.975	37	2 0 0
47.01	1.933	28	1 0 7
54.92	1.672	32	2 1 3

# 4
# CaCu
Theoretical XRD peak list, λ = 1.5418 Å (Cu Kα). Input: a structure optimized by DFT (PBE).
Neutral-atom scattering factors, no anomalous dispersion.

abc: 38.3802 4.2633 5.8062
angles: 90.00 90.00 90.00
Space group Pnma (No. 62)
Unique sites:
Ca1 0.0358 0.2500 0.1277 x4
Ca2 0.0640 0.7500 0.6278 x4
Ca3 0.1359 0.2500 0.3723 x4
Ca4 0.1641 0.7500 0.8758 x4
Ca5 0.2357 0.2500 0.6234 x4
Cu1 0.0059 0.2500 0.6066 x4
Cu2 0.0940 0.7500 0.1067 x4
Cu3 0.1062 0.2500 0.8933 x4
Cu4 0.1939 0.7500 0.3550 x4
Cu5 0.2062 0.2500 0.1424 x4

Principal peaks in the range 10° ≤ 2θ ≤ 90°, low angle first:
2theta	d/Å	intensity	hkl
19.17	4.631	26	5 0 1
23.17	3.838	19	10 0 0
31.36	2.852	46	10 1 0
32.99	2.715	30	5 0 2
35.05	2.560	25	10 1 1
38.45	2.341	23	15 0 1
39.34	2.290	100	5 1 2
42.40	2.132	35	0 2 0
54.75	1.677	17	5 2 2
73.18	1.293	16	25 1 2

# 5
# CaCu5
Theoretical XRD peak list, λ = 1.5418 Å (Cu Kα). Input: a structure optimized by DFT (PBE).
Neutral-atom scattering factors, no anomalous dispersion.

abc: 5.1057 5.1057 4.0262
angles: 90.00 90.00 120.00
Space group P6/mmm (No. 191)
Unique sites:
Ca1 0.0000 0.0000 0.0000 x1
Cu1 0.0000 0.5000 0.5000 x3
Cu2 0.3333 0.6667 0.0000 x2

Principal peaks in the range 10° ≤ 2θ ≤ 90°, low angle first:
2theta	d/Å	intensity	hkl
20.08	4.422	49	1 0 0
35.15	2.553	17	1 1 0
40.82	2.211	28	2 0 0
41.90	2.156	100	1 1 1
45.03	2.013	32	0 0 2
46.88	1.938	64	2 0 1
62.39	1.488	15	2 0 2
67.70	1.384	21	3 0 1
74.31	1.276	19	2 2 0
80.93	1.188	12	1 1 3

# 6
# CaCu
Theoretical XRD peak list, λ = 1.5418 Å (Cu Kα). Input: a structure optimized by DFT (PBE).
Neutral-atom scattering factors, no anomalous dispersion.

abc: 5.8181 4.2332 19.3108
angles: 90.00 94.35 90.00
Space group P2_1/m (No. 11)
Unique sites:
Ca1 0.0398 0.2500 0.1716 x2
Ca2 0.1563 0.7500 0.6284 x2
Ca3 0.2582 0.7500 0.0282 x2
Ca4 0.3553 0.7500 0.4282 x2
Ca5 0.4460 0.2500 0.7716 x2
Cu1 0.0875 0.7500 0.2878 x2
Cu2 0.1103 0.2500 0.5123 x2
Cu3 0.2466 0.2500 0.9122 x2
Cu4 0.3090 0.2500 0.3123 x2
Cu5 0.4557 0.7500 0.8877 x2

Principal peaks in the range 10° ≤ 2θ ≤ 90°, low angle first:
2theta	d/Å	intensity	hkl
16.29	5.442	15	1 0 1
17.24	5.144	10	1 0 -2
18.44	4.810	10	1 0 2
23.10	3.851	22	0 0 5
31.40	2.849	51	0 1 5
32.91	2.722	32	2 0 -3
39.36	2.289	100	2 1 2
42.72	2.117	27	0 2 0
54.96	1.671	13	2 2 -3
75.96	1.253	12	2 3 2

# 7
# Ca2EuCu2O6
Theoretical XRD peak list, λ = 1.5418 Å (Cu Kα). Input: a structure optimized by DFT (PBE).
Neutral-atom scattering factors, no anomalous dispersion.

abc: 15.2465 6.1704 6.3268
angles: 90.00 106.83 90.00
Space group Cc (No. 9)
Unique sites:
Ca1 0.0000 0.0433 0.0000 x4
Ca2 0.3022 0.3106 0.0269 x4
Eu1 0.2066 0.1915 0.4758 x4
Cu1 0.0858 0.4067 0.7444 x4
Cu2 0.4193 0.0912 0.7570 x4
O1 0.0408 0.3102 0.2755 x4
O2 0.1253 0.1155 0.7711 x4
O3 0.2008 0.4915 0.2254 x4
O4 0.3051 0.0139 0.2756 x4
O5 0.3785 0.3807 0.7255 x4
O6 0.4646 0.1899 0.2263 x4

Principal peaks in the range 10° ≤ 2θ ≤ 90°, low angle first:
2theta	d/Å	intensity	hkl
12.13	7.297	35	2 0 0
20.19	4.399	64	1 1 -1
22.63	3.929	34	1 1 1
28.46	3.137	48	2 0 -2
30.37	2.943	100	3 1 1
31.48	2.842	32	2 2 0
32.52	2.753	57	4 0 -2
33.29	2.691	99	2 2 -1
35.12	2.555	50	1 1 2
44.16	2.051	45	7 1 -1

# 8
# CaEu2Cu2O6
Theoretical XRD peak list, λ = 1.5418 Å (Cu Kα). Input: a structure optimized by DFT (PBE).
Neutral-atom scattering factors, no anomalous dispersion.

abc: 15.3648 6.2424 6.3063
angles: 90.00 105.74 90.00
Space group C2/c (No. 15)
Unique sites:
Ca1 0.0000 0.0521 0.2500 x4
Eu1 0.1971 0.1878 0.7203 x8
Cu1 0.0829 0.4051 0.9989 x8
O1 0.0393 0.3129 0.5240 x8
O2 0.1188 0.1121 0.0245 x8
O3 0.2009 0.4942 0.4859 x8

Principal peaks in the range 10° ≤ 2θ ≤ 90°, low angle first:
2theta	d/Å	intensity	hkl
11.97	7.394	48	2 0 0
24.51	3.632	26	3 1 -1
28.60	3.121	59	2 0 -2
29.91	2.987	100	3 1 1
33.03	2.712	54	2 2 -1
33.15	2.703	47	5 1 -1
34.85	2.574	39	1 1 2
40.05	2.251	26	5 1 1
43.85	2.065	34	7 1 -1
49.32	1.848	33	8 0 0